This entry pairs a crystal structure of ScPtBr3 with its simulated powder diffraction line list. Radiation: a wavelength of 1.5418 Å. Structure: a DFT-relaxed cell (PBE, Alexandria).

Peak list (8 most intense, 10 to 90 degrees two-theta, in order of rising 2θ)
(1 1 0), 2θ = 24.1°, I = 38
(1 1 1), 2θ = 29.6°, I = 100
(2 0 0), 2θ = 34.3°, I = 77
(2 2 0), 2θ = 49.3°, I = 54
(3 1 1), 2θ = 58.6°, I = 44
(2 2 2), 2θ = 61.4°, I = 18
(3 3 1), 2θ = 80.0°, I = 18
(4 2 0), 2θ = 82.5°, I = 24

Structure:
abc: 5.2273 5.2273 5.2273
angles: 90.00 90.00 90.00
Sites, in units of the cell vectors:
Sc  0.0000  0.0000  0.0000
Pt  0.5000  0.5000  0.5000
Br  0.0000  0.0000  0.5000
Br  0.0000  0.5000  0.0000
Br  0.5000  0.0000  0.0000